# 1
Structure and computed PXRD pattern of LaMg14Si (DFT lattice parameters and positions (GGA-PBE); CuKα).

Cell and atoms:
Unit cell a=6.4299 b=6.4299 c=10.4509 alpha=90.00 beta=90.00 gamma=120.00
Atoms (fractional coordinates):
La 0.0000 0.0000 0.0000
Mg 0.0147 0.5074 0.0000
Mg 0.1642 0.3283 0.2644
Mg 0.1642 0.3283 0.7356
Mg 0.1642 0.8358 0.2644
Mg 0.1642 0.8358 0.7356
Mg 0.4926 0.5074 0.0000
Mg 0.4926 0.9853 0.0000
Mg 0.5041 0.0082 0.5000
Mg 0.5041 0.4959 0.5000
Mg 0.6667 0.3333 0.2376
Mg 0.6667 0.3333 0.7624
Mg 0.6717 0.8358 0.2644
Mg 0.6717 0.8358 0.7356
Mg 0.9918 0.4959 0.5000
Si 0.0000 0.0000 0.5000

The 12 most intense peaks (10 to 90 degrees two-theta), most intense first:
- 2θ 36.57, I 100
- 2θ 18.05, I 29
- 2θ 32.15, I 27
- 2θ 15.92, I 26
- 2θ 34.32, I 25
- 2θ 23.35, I 19
- 2θ 68.54, I 19
- 2θ 62.94, I 18
- 2θ 47.74, I 17
- 2θ 57.32, I 17
- 2θ 69.93, I 14
- 2θ 30.26, I 12

***

# 2
Structure and computed PXRD pattern of DyMg2 (DFT lattice parameters and positions (GGA-PBE); CuKα).

Cell and atoms:
Unit cell a=6.0560 b=6.0560 c=9.7854 alpha=90.00 beta=90.00 gamma=120.00
Atoms (fractional coordinates):
Dy 0.3333 0.6667 0.0640
Dy 0.3333 0.6667 0.4360
Dy 0.6667 0.3333 0.5640
Dy 0.6667 0.3333 0.9360
Mg 0.0000 0.0000 0.0000
Mg 0.0000 0.0000 0.5000
Mg 0.1711 0.3421 0.7500
Mg 0.1711 0.8289 0.7500
Mg 0.3421 0.1711 0.2500
Mg 0.6579 0.8289 0.7500
Mg 0.8289 0.1711 0.2500
Mg 0.8289 0.6579 0.2500

The 12 most intense peaks (10 to 90 degrees two-theta), most intense first:
- 2θ 32.32, I 100
- 2θ 29.50, I 81
- 2θ 34.84, I 77
- 2θ 54.14, I 45
- 2θ 16.91, I 45
- 2θ 19.20, I 32
- 2θ 35.44, I 30
- 2θ 18.13, I 24
- 2θ 58.88, I 23
- 2θ 24.89, I 22
- 2θ 70.94, I 21
- 2θ 55.85, I 20